Simulated powder diffractogram of LiHg3Te4Pt for Cu Kα, from a structure optimized by DFT (GGA-PBE).
Lines closer than 0.1° are merged.

Principal peaks in the range 2θ = 10–80°, low angle first:
index  d [Å]  Rel. int.
1 0 0  6.562  51.7
1 1 1  3.788  61.2
2 1 0  2.934  37.0
2 2 0  2.320  100.0
3 0 0  2.187  18.8
3 1 1  1.978  31.0
4 0 0  1.640  17.2
3 2 2  1.591  12.4
3 3 1  1.505  12.8
4 2 2  1.339  35.1

Structure:
a b c (Å): 6.562 6.562 6.562
angles (deg): 90.00 90.00 90.00
Space group P-43m (No. 215)
Inequivalent atoms, fractional coordinates:
Li1 0.000 0.000 0.000 x1
Hg1 0.000 0.500 0.500 x3
Te1 0.245 0.245 0.245 x4
Pt1 0.500 0.500 0.500 x1

Simulated powder diffractogram of Nb3Ge for Cu Kα, from a structure optimized by DFT (GGA-PBE).
Lines closer than 0.1° are merged.

Principal peaks in the range 2θ = 10–80°, low angle first:
index  d [Å]  Rel. int.
0 0 2  2.656  22.8
3 2 1  2.525  61.3
2 0 2  2.363  65.0
4 2 0  2.314  84.0
4 1 1  2.269  100.0
2 2 2  2.149  52.6
5 2 1  1.807  24.9
4 4 2  1.507  22.5
6 0 2  1.447  38.4
6 4 2  1.263  21.3

Structure:
a b c (Å): 10.348 10.348 5.311
angles (deg): 90.00 90.00 90.00
Space group I4/mcm (No. 140)
Inequivalent atoms, fractional coordinates:
Nb1 0.000 0.000 0.250 x4
Nb2 0.000 0.500 0.250 x4
Nb3 0.081 0.229 0.000 x16
Ge1 0.162 0.338 0.500 x8

Simulated powder diffractogram of NaZrAgTe2Se for Cu Kα, from a structure optimized by DFT (GGA-PBE).
Lines closer than 0.1° are merged.

Principal peaks in the range 2θ = 10–80°, low angle first:
index  d [Å]  Rel. int.
1 0 -1  7.204  100.0
2 0 1  3.336  26.2
0 0 3  3.249  33.0
2 1 -1  2.892  56.7
2 1 0  2.842  79.6
1 1 -3  2.599  29.8
0 1 3  2.548  20.4
2 1 -4  2.071  48.3
0 2 0  2.053  34.3
2 1 3  1.950  28.1

Structure:
a b c (Å): 8.211 4.106 10.164
angles (deg): 90.00 106.48 90.00
Space group P2_1/m (No. 11)
Inequivalent atoms, fractional coordinates:
Na1 0.239 0.250 0.184 x2
Zr1 0.195 0.750 0.683 x2
Ag1 0.419 0.250 0.903 x2
Te1 0.074 0.750 0.366 x2
Te2 0.426 0.250 0.635 x2
Se1 0.224 0.750 0.950 x2

Simulated powder diffractogram of TbTmCo2Si2C for Cu Kα, from a structure optimized by DFT (GGA-PBE).
Lines closer than 0.1° are merged.

Principal peaks in the range 2θ = 10–80°, low angle first:
index  d [Å]  Rel. int.
1 1 0  3.481  58.7
2 0 -2  3.378  32.4
4 0 -2  2.586  46.6
3 1 -1  2.577  76.4
2 0 1  2.515  32.1
4 0 -1  2.503  31.0
1 1 -2  2.428  100.0
3 1 0  2.213  26.4
4 0 -3  2.166  25.3
0 2 0  1.927  32.3

Structure:
a b c (Å): 10.516 3.855 6.755
angles (deg): 90.00 129.56 90.00
Space group Cm (No. 8)
Inequivalent atoms, fractional coordinates:
Tb1 0.000 0.000 0.000 x2
Tm1 0.373 0.500 0.407 x2
Co1 0.134 0.500 0.790 x2
Co2 0.236 0.000 0.613 x2
Si1 0.092 0.500 0.406 x2
Si2 0.280 0.000 0.000 x2
C1 0.435 0.000 0.698 x2